Simulated powder diffractogram
Compound: Nd5Dy2Ho
Radiation: a wavelength of 1.5418 Å
Structure: a crystal structure in Alexandria, relaxed with GGA-PBE

Top 12 peaks for 10° ≤ 2θ ≤ 90°, sorted by position:
- 28.03 deg, intensity 36, (0 8 0)
- 30.70 deg, intensity 38, (0 0 2)
- 32.01 deg, intensity 100, (2 4 -1)
- 32.09 deg, intensity 51, (2 4 1)
- 42.10 deg, intensity 16, (0 8 2)
- 49.59 deg, intensity 30, (4 0 0)
- 55.30 deg, intensity 11, (2 4 -3)
- 55.55 deg, intensity 11, (2 4 3)
- 59.40 deg, intensity 11, (2 12 -2)
- 59.57 deg, intensity 17, (4 0 2)
- 60.32 deg, intensity 17, (0 16 1)
- 81.77 deg, intensity 13, (4 16 1)

Structure:
a = 7.3585 Å, b = 25.4525 Å, c = 5.8244 Å
α = 90.00°, β = 90.30°, γ = 90.00°
Space group Cc (No. 9)
Symmetry-distinct sites (fractional):
Nd1 0.0000 0.0816 0.0000 [4 per cell]
Nd2 0.9996 0.3337 0.9999 [4 per cell]
Nd3 0.0009 0.4185 0.4992 [4 per cell]
Nd4 0.0017 0.1663 0.5005 [4 per cell]
Nd5 0.2508 0.2927 0.5002 [4 per cell]
Dy1 0.2504 0.0415 0.4996 [4 per cell]
Dy2 0.2508 0.2071 0.0002 [4 per cell]
Ho1 0.2504 0.4579 0.9994 [4 per cell]

---

Simulated powder diffractogram
Compound: Sr4Y2GaCu5Pb4O16
Radiation: a wavelength of 1.5418 Å
Structure: a crystal structure in Alexandria, relaxed with GGA-PBE

Top 12 peaks for 10° ≤ 2θ ≤ 90°, sorted by position:
- 22.91 deg, intensity 19, (1 1 -1)
- 23.59 deg, intensity 42, (1 1 1)
- 28.14 deg, intensity 18, (10 0 0)
- 32.16 deg, intensity 95, (7 1 1)
- 32.40 deg, intensity 100, (9 1 -1)
- 32.53 deg, intensity 69, (2 0 -2)
- 32.72 deg, intensity 70, (0 2 0)
- 43.72 deg, intensity 30, (10 2 0)
- 46.81 deg, intensity 65, (2 2 -2)
- 58.09 deg, intensity 39, (11 1 -3)
- 58.20 deg, intensity 27, (9 3 -1)
- 77.43 deg, intensity 18, (5 3 3)

Structure:
a = 32.1271 Å, b = 5.4732 Å, c = 5.5055 Å
α = 90.00°, β = 99.26°, γ = 90.00°
Space group Cm (No. 8)
Symmetry-distinct sites (fractional):
Sr1 0.0000 0.0000 0.0000 [2 per cell]
Sr2 0.0001 0.5000 0.4993 [2 per cell]
Sr3 0.2187 0.0000 0.2045 [2 per cell]
Sr4 0.2190 0.5000 0.7057 [2 per cell]
Y1 0.1081 0.0000 0.1011 [2 per cell]
Y2 0.1082 0.5000 0.6011 [2 per cell]
Ga1 0.1677 0.0000 0.6573 [2 per cell]
Cu1 0.0589 0.0000 0.5546 [2 per cell]
Cu2 0.0601 0.5000 0.0556 [2 per cell]
Cu3 0.1621 0.5000 0.1522 [2 per cell]
Cu4 0.3589 0.0000 0.3456 [2 per cell]
Cu5 0.3588 0.5000 0.8551 [2 per cell]
Pb1 0.3028 0.0000 0.8011 [2 per cell]
Pb2 0.3037 0.5000 0.3007 [2 per cell]
Pb3 0.4150 0.0000 0.9024 [2 per cell]
Pb4 0.4158 0.5000 0.4058 [2 per cell]
O1 0.0640 0.2502 0.3092 [4 per cell]
O2 0.0640 0.2501 0.8095 [4 per cell]
O3 0.1565 0.2437 0.4035 [4 per cell]
O4 0.1566 0.2437 0.8904 [4 per cell]
O5 0.2303 0.0000 0.7150 [2 per cell]
O6 0.2352 0.5000 0.2202 [2 per cell]
O7 0.3009 0.0000 0.2295 [2 per cell]
O8 0.3007 0.5000 0.7502 [2 per cell]
O9 0.4163 0.0000 0.4630 [2 per cell]
O10 0.4166 0.5000 0.9609 [2 per cell]
O11 0.4826 0.0000 0.9854 [2 per cell]
O12 0.4838 0.5000 0.4854 [2 per cell]

---

Simulated powder diffractogram
Compound: NdPu4In15
Radiation: a wavelength of 1.5418 Å
Structure: a crystal structure in Alexandria, relaxed with GGA-PBE

Top 12 peaks for 10° ≤ 2θ ≤ 90°, sorted by position:
- 19.00 deg, intensity 8, (0 0 5)
- 26.99 deg, intensity 7, (1 1 0)
- 33.22 deg, intensity 100, (1 1 5)
- 38.55 deg, intensity 50, (2 0 0)
- 43.31 deg, intensity 5, (2 0 5)
- 47.69 deg, intensity 4, (1 1 10)
- 55.65 deg, intensity 34, (2 2 0)
- 59.35 deg, intensity 2, (0 0 15)
- 66.37 deg, intensity 40, (3 1 5)
- 69.74 deg, intensity 11, (2 2 10)
- 76.27 deg, intensity 2, (3 1 10)
- 82.62 deg, intensity 5, (4 0 0)

Structure:
a = 4.6711 Å, b = 4.6711 Å, c = 23.3579 Å
α = 90.00°, β = 90.00°, γ = 90.00°
Space group P4/mmm (No. 123)
Symmetry-distinct sites (fractional):
Nd1 0.0000 0.0000 0.0000 [1 per cell]
Pu1 0.0000 0.0000 0.2010 [2 per cell]
Pu2 0.0000 0.0000 0.4003 [2 per cell]
In1 0.0000 0.5000 0.1025 [4 per cell]
In2 0.0000 0.5000 0.3009 [4 per cell]
In3 0.0000 0.5000 0.5000 [2 per cell]
In4 0.5000 0.5000 0.0000 [1 per cell]
In5 0.5000 0.5000 0.2013 [2 per cell]
In6 0.5000 0.5000 0.4005 [2 per cell]

---

Simulated powder diffractogram
Compound: Nd12YHo5
Radiation: a wavelength of 1.5418 Å
Structure: a crystal structure in Alexandria, relaxed with GGA-PBE

Top 12 peaks for 10° ≤ 2θ ≤ 90°, sorted by position:
- 30.11 deg, intensity 100, (3 1 0)
- 34.85 deg, intensity 34, (0 2 0)
- 35.02 deg, intensity 17, (3 0 3)
- 50.14 deg, intensity 18, (3 2 -3)
- 50.25 deg, intensity 18, (6 0 0)
- 59.58 deg, intensity 29, (3 3 0)
- 59.80 deg, intensity 14, (6 1 3)
- 62.59 deg, intensity 12, (6 2 0)
- 81.50 deg, intensity 6, (6 3 -3)
- 81.65 deg, intensity 6, (3 3 6)
- 81.75 deg, intensity 6, (9 1 0)
- 84.08 deg, intensity 7, (6 2 -6)

Structure:
a = 10.8887 Å, b = 5.1490 Å, c = 10.9059 Å
α = 90.00°, β = 90.26°, γ = 90.00°
Space group P2/m (No. 10)
Symmetry-distinct sites (fractional):
Nd1 0.0019 0.0000 0.1677 [2 per cell]
Nd2 0.1655 0.5000 0.6656 [2 per cell]
Nd3 0.1688 0.5000 0.0019 [2 per cell]
Nd4 0.3322 0.0000 0.4982 [2 per cell]
Nd5 0.3352 0.0000 0.8352 [2 per cell]
Nd6 0.4980 0.5000 0.3313 [2 per cell]
Y1 0.0000 0.0000 0.5000 [1 per cell]
Ho1 0.1671 0.5000 0.3329 [2 per cell]
Ho2 0.3333 0.0000 0.1667 [2 per cell]
Ho3 0.5000 0.5000 0.0000 [1 per cell]

---

Simulated powder diffractogram
Compound: Tb2CeEr9
Radiation: a wavelength of 1.5418 Å
Structure: a crystal structure in Alexandria, relaxed with GGA-PBE

Top 8 peaks for 10° ≤ 2θ ≤ 90°, sorted by position:
- 31.15 deg, intensity 100, (1 1 3)
- 36.13 deg, intensity 51, (2 0 0)
- 52.02 deg, intensity 36, (2 2 0)
- 61.89 deg, intensity 43, (3 1 3)
- 64.97 deg, intensity 12, (2 2 6)
- 76.66 deg, intensity 6, (4 0 0)
- 85.03 deg, intensity 18, (3 3 3)
- 87.79 deg, intensity 17, (4 2 0)

Structure:
a = 4.9736 Å, b = 4.9736 Å, c = 14.9101 Å
α = 90.00°, β = 90.00°, γ = 90.00°
Space group P4/mmm (No. 123)
Symmetry-distinct sites (fractional):
Tb1 0.0000 0.0000 0.1678 [2 per cell]
Ce1 0.0000 0.0000 0.5000 [1 per cell]
Er1 0.0000 0.5000 0.0000 [2 per cell]
Er2 0.0000 0.5000 0.3345 [4 per cell]
Er3 0.5000 0.5000 0.1655 [2 per cell]
Er4 0.5000 0.5000 0.5000 [1 per cell]

---

Simulated powder diffractogram
Compound: Na3B5C
Radiation: a wavelength of 1.5418 Å
Structure: a crystal structure in Alexandria, relaxed with GGA-PBE

Top 12 peaks for 10° ≤ 2θ ≤ 90°, sorted by position:
- 20.64 deg, intensity 2, (0 0 6)
- 35.09 deg, intensity 19, (1 0 0)
- 41.06 deg, intensity 100, (1 0 6)
- 41.98 deg, intensity 24, (0 0 12)
- 55.83 deg, intensity 10, (1 0 12)
- 62.95 deg, intensity 18, (1 1 0)
- 67.01 deg, intensity 2, (1 1 6)
- 74.16 deg, intensity 2, (2 0 0)
- 76.07 deg, intensity 12, (1 0 18)
- 77.95 deg, intensity 11, (2 0 6)
- 78.58 deg, intensity 17, (1 1 12)
- 89.07 deg, intensity 2, (2 0 12)

Structure:
a = 2.9529 Å, b = 2.9529 Å, c = 25.8250 Å
α = 90.00°, β = 90.00°, γ = 120.00°
Space group P6_3/mmc (No. 194)
Symmetry-distinct sites (fractional):
Na1 0.0000 0.0000 0.0000 [2 per cell]
Na2 0.0000 0.0000 0.1682 [4 per cell]
B1 0.3333 0.6667 0.0843 [4 per cell]
B2 0.3333 0.6667 0.2500 [2 per cell]
B3 0.3333 0.6667 0.5843 [4 per cell]
C1 0.3333 0.6667 0.7500 [2 per cell]

---

Simulated powder diffractogram
Compound: Y3Ga2Ni6
Radiation: a wavelength of 1.5418 Å
Structure: a crystal structure in Alexandria, relaxed with GGA-PBE

Top 12 peaks for 10° ≤ 2θ ≤ 90°, sorted by position:
- 14.04 deg, intensity 13, (1 1 0)
- 31.71 deg, intensity 19, (3 1 0)
- 34.83 deg, intensity 27, (2 2 2)
- 37.72 deg, intensity 28, (3 2 1)
- 40.44 deg, intensity 20, (4 0 0)
- 43.01 deg, intensity 100, (3 3 0)
- 45.46 deg, intensity 15, (4 2 0)
- 62.45 deg, intensity 7, (6 0 0)
- 64.37 deg, intensity 14, (5 3 2)
- 69.94 deg, intensity 18, (6 2 2)
- 78.83 deg, intensity 24, (6 3 3)
- 89.16 deg, intensity 6, (7 4 1)

Structure:
a = 8.9225 Å, b = 8.9225 Å, c = 8.9225 Å
α = 90.00°, β = 90.00°, γ = 90.00°
Space group Im-3m (No. 229)
Symmetry-distinct sites (fractional):
Y1 0.0000 0.0000 0.2907 [12 per cell]
Ga1 0.2500 0.2500 0.2500 [8 per cell]
Ni1 0.0000 0.3358 0.3358 [24 per cell]

---

Simulated powder diffractogram
Compound: Cs2NbI5Cl
Radiation: a wavelength of 1.5418 Å
Structure: a crystal structure in Alexandria, relaxed with GGA-PBE

Top 12 peaks for 10° ≤ 2θ ≤ 90°, sorted by position:
- 13.04 deg, intensity 23, (1 0 1)
- 21.60 deg, intensity 10, (1 1 2)
- 26.26 deg, intensity 100, (2 0 2)
- 29.75 deg, intensity 55, (2 2 0)
- 31.70 deg, intensity 23, (0 0 4)
- 42.58 deg, intensity 20, (4 0 0)
- 44.03 deg, intensity 36, (2 2 4)
- 50.71 deg, intensity 30, (4 2 2)
- 53.25 deg, intensity 13, (2 0 6)
- 54.04 deg, intensity 19, (4 0 4)
- 70.44 deg, intensity 11, (4 2 6)
- 78.94 deg, intensity 11, (6 2 4)

Structure:
a = 8.4938 Å, b = 8.4938 Å, c = 11.2897 Å
α = 90.00°, β = 90.00°, γ = 90.00°
Space group I4mm (No. 107)
Symmetry-distinct sites (fractional):
Cs1 0.0000 0.5000 0.0000 [4 per cell]
Nb1 0.0000 0.0000 0.2540 [2 per cell]
I1 0.0000 0.0000 0.0049 [2 per cell]
I2 0.2370 0.2370 0.2508 [8 per cell]
Cl1 0.0000 0.0000 0.4657 [2 per cell]

---

Simulated powder diffractogram
Compound: Er3Tm4Th5
Radiation: a wavelength of 1.5418 Å
Structure: a crystal structure in Alexandria, relaxed with GGA-PBE

Top 12 peaks for 10° ≤ 2θ ≤ 90°, sorted by position:
- 29.00 deg, intensity 30, (2 0 -3)
- 29.44 deg, intensity 32, (2 0 2)
- 29.73 deg, intensity 39, (3 1 1)
- 30.23 deg, intensity 100, (0 2 0)
- 31.58 deg, intensity 34, (4 0 1)
- 32.20 deg, intensity 55, (5 1 -1)
- 32.93 deg, intensity 78, (5 1 -2)
- 33.05 deg, intensity 35, (3 1 -3)
- 33.77 deg, intensity 56, (1 1 -3)
- 42.70 deg, intensity 24, (2 2 2)
- 44.28 deg, intensity 29, (4 2 1)
- 55.45 deg, intensity 28, (5 3 -2)

Structure:
a = 15.8511 Å, b = 5.9138 Å, c = 9.2560 Å
α = 90.00°, β = 116.53°, γ = 90.00°
Space group C2/m (No. 12)
Symmetry-distinct sites (fractional):
Er1 0.0000 0.0000 0.0000 [2 per cell]
Er2 0.2095 0.0000 0.8716 [4 per cell]
Tm1 0.0724 0.5000 0.6932 [4 per cell]
Tm2 0.2102 0.0000 0.2295 [4 per cell]
Th1 0.0000 0.5000 0.0000 [2 per cell]
Th2 0.0827 0.0000 0.4389 [4 per cell]
Th3 0.1718 0.5000 0.3838 [4 per cell]

---

Simulated powder diffractogram
Compound: Ba3Hg5Pd6
Radiation: a wavelength of 1.5418 Å
Structure: a crystal structure in Alexandria, relaxed with GGA-PBE

Top 12 peaks for 10° ≤ 2θ ≤ 90°, sorted by position:
- 26.85 deg, intensity 67, (1 0 3)
- 32.01 deg, intensity 39, (1 2 3)
- 32.16 deg, intensity 100, (1 3 0)
- 34.65 deg, intensity 63, (1 3 2)
- 37.24 deg, intensity 44, (1 0 5)
- 38.28 deg, intensity 62, (2 0 0)
- 38.39 deg, intensity 22, (0 0 6)
- 41.25 deg, intensity 45, (1 2 5)
- 41.37 deg, intensity 40, (0 3 5)
- 50.87 deg, intensity 37, (2 3 3)
- 60.40 deg, intensity 33, (1 6 3)
- 62.47 deg, intensity 24, (1 3 8)

Structure:
a = 4.7024 Å, b = 10.3653 Å, c = 14.0681 Å
α = 90.00°, β = 90.00°, γ = 90.00°
Space group Immm (No. 71)
Symmetry-distinct sites (fractional):
Ba1 0.0000 0.0000 0.0000 [2 per cell]
Ba2 0.0000 0.0000 0.3191 [4 per cell]
Hg1 0.0000 0.3412 0.3203 [8 per cell]
Hg2 0.0000 0.5000 0.0000 [2 per cell]
Pd1 0.0000 0.2062 0.5000 [4 per cell]
Pd2 0.0000 0.2748 0.1083 [8 per cell]

---

Simulated powder diffractogram
Compound: Y5CoTe4
Radiation: a wavelength of 1.5418 Å
Structure: a crystal structure in Alexandria, relaxed with GGA-PBE

Top 12 peaks for 10° ≤ 2θ ≤ 90°, sorted by position:
- 25.21 deg, intensity 7, (2 1 1)
- 29.19 deg, intensity 100, (0 0 2)
- 31.35 deg, intensity 7, (3 0 1)
- 36.56 deg, intensity 11, (3 2 1)
- 41.75 deg, intensity 66, (1 3 2)
- 49.39 deg, intensity 6, (3 4 1)
- 51.75 deg, intensity 20, (4 2 2)
- 60.08 deg, intensity 6, (1 6 1)
- 60.53 deg, intensity 10, (0 0 4)
- 68.59 deg, intensity 22, (1 3 4)
- 76.22 deg, intensity 13, (4 2 4)
- 81.76 deg, intensity 6, (7 4 1)

Structure:
a = 9.6794 Å, b = 9.6794 Å, c = 6.1149 Å
α = 90.00°, β = 90.00°, γ = 90.00°
Space group I4/m (No. 87)
Symmetry-distinct sites (fractional):
Y1 0.0000 0.0000 0.0000 [2 per cell]
Y2 0.0903 0.2521 0.5000 [8 per cell]
Co1 0.0000 0.0000 0.5000 [2 per cell]
Te1 0.0889 0.3101 0.0000 [8 per cell]

---

> Which formula does entry 9 have?

Er3Tm4Th5